# 1
For Mg2ZnCdHg, a crystal structure in Alexandria, relaxed with GGA-PBE gives the calculated powder X-ray diffraction pattern in this record (Cu Kα).

Atomic structure:
a b c (Å): 6.874 4.389 7.213
angles (deg): 90.00 106.57 90.00
Fractional positions:
1 Mg 0.011 0.250 0.176
2 Mg 0.382 0.750 0.634
3 Mg 0.618 0.250 0.366
4 Mg 0.989 0.750 0.824
5 Zn 0.044 0.250 0.590
6 Zn 0.956 0.750 0.410
7 Cd 0.332 0.250 0.941
8 Cd 0.668 0.750 0.059
9 Hg 0.307 0.750 0.228
10 Hg 0.693 0.250 0.772

Main lines, by intensity (2θ = 5–70°):
24.02 deg, d 3.706, intensity 100
38.59 deg, d 2.333, intensity 95
41.12 deg, d 2.195, intensity 75
37.92 deg, d 2.373, intensity 66
33.52 deg, d 2.673, intensity 63
21.11 deg, d 4.208, intensity 61
26.44 deg, d 3.371, intensity 32
37.49 deg, d 2.399, intensity 30
59.55 deg, d 1.552, intensity 21
58.92 deg, d 1.568, intensity 21

---

# 2
For Y4Tm5Pu, a crystal structure in Alexandria, relaxed with GGA-PBE gives the calculated powder X-ray diffraction pattern in this record (Cu Kα).

Atomic structure:
a b c (Å): 8.087 8.087 8.087
angles (deg): 96.34 96.34 141.19
Fractional positions:
1 Y 0.000 0.322 0.322
2 Y 0.000 0.678 0.678
3 Y 0.322 0.000 0.322
4 Y 0.678 0.000 0.678
5 Tm 0.316 0.316 0.633
6 Tm 0.316 0.683 0.000
7 Tm 0.683 0.316 0.000
8 Tm 0.683 0.683 0.367
9 Tm 0.993 0.993 0.000
10 Pu 0.492 0.492 0.000

Main lines, by intensity (2θ = 5–70°):
29.90 deg, d 2.988, intensity 100
35.30 deg, d 2.542, intensity 69
11.60 deg, d 7.627, intensity 60
49.35 deg, d 1.847, intensity 53
33.35 deg, d 2.686, intensity 44
34.31 deg, d 2.614, intensity 29
62.12 deg, d 1.494, intensity 27
50.80 deg, d 1.797, intensity 26
23.33 deg, d 3.814, intensity 24
18.45 deg, d 4.809, intensity 20

---

# 3
For KNb3F9, a crystal structure in Alexandria, relaxed with GGA-PBE gives the calculated powder X-ray diffraction pattern in this record (Cu Kα).

Atomic structure:
a b c (Å): 7.930 7.930 8.274
angles (deg): 90.00 90.00 119.75
Fractional positions:
1 K 0.043 0.957 0.750
2 K 0.957 0.043 0.250
3 Nb 0.000 0.500 0.000
4 Nb 0.000 0.500 0.500
5 Nb 0.500 0.000 0.000
6 Nb 0.500 0.000 0.500
7 Nb 0.500 0.500 0.000
8 Nb 0.500 0.500 0.500
9 F 0.003 0.556 0.250
10 F 0.193 0.385 0.041
11 F 0.193 0.385 0.459
12 F 0.197 0.803 0.545
13 F 0.197 0.803 0.955
14 F 0.385 0.193 0.541
15 F 0.385 0.193 0.959
16 F 0.444 0.997 0.250
17 F 0.471 0.529 0.750
18 F 0.529 0.471 0.250
19 F 0.556 0.003 0.750
20 F 0.615 0.807 0.041
21 F 0.615 0.807 0.459
22 F 0.803 0.197 0.045
23 F 0.803 0.197 0.455
24 F 0.807 0.615 0.541
25 F 0.807 0.615 0.959
26 F 0.997 0.444 0.750

Main lines, by intensity (2θ = 5–70°):
25.91 deg, d 3.438, intensity 100
21.48 deg, d 4.137, intensity 45
51.56 deg, d 1.772, intensity 33
12.88 deg, d 6.875, intensity 33
25.12 deg, d 3.545, intensity 30
33.91 deg, d 2.644, intensity 25
45.77 deg, d 1.982, intensity 23
31.22 deg, d 2.865, intensity 22
51.09 deg, d 1.788, intensity 21
22.40 deg, d 3.969, intensity 19